Structure and calculated powder diffractogram of TiAlPd2 (a structure optimized by DFT (GGA-PBE); copper Kα).
Lines closer than 0.1° are merged.

Crystal structure
```
TiAlPd2
1.0
2.9197 0.0000 0.0000
0.0000 2.9197 0.0000
0.0000 0.0000 7.1510
Ti Al Pd
1 1 2
Cartesian
0.0000 0.0000 0.0000
0.0000 0.0000 3.5755
1.4599 1.4599 1.9411
1.4599 1.4599 5.2099
```

Peak list (12 most intense, 2θ from 15° to 90°, in order of rising 2θ)
- 24.90°, I = 20, hkl 0 0 2
- 30.62°, I = 26, hkl 1 0 0
- 33.14°, I = 5, hkl 1 0 1
- 39.86°, I = 100, hkl 1 0 2
- 43.85°, I = 40, hkl 1 1 0
- 51.09°, I = 21, hkl 0 0 4
- 63.75°, I = 13, hkl 2 0 0
- 69.56°, I = 20, hkl 1 1 4
- 73.77°, I = 5, hkl 1 0 5
- 77.89°, I = 26, hkl 2 1 2
- 85.97°, I = 9, hkl 2 0 4
- 88.64°, I = 6, hkl 1 0 6